No. 1
This entry pairs a crystal structure of Tm6GeSb3Se2 with its calculated powder diffraction line list. Radiation: λ = 1.5418 Å (Cu Kα). Structure: a structure optimized by DFT (GGA-PBE).

Cell and atoms:
Unit cell a=7.272 b=12.581 c=7.291 alpha=90.00 beta=109.39 gamma=90.00
Space group C2/m (No. 12)
One atom of each set of equivalent atoms:
Tm (0.241, 0.162, 0.236) (multiplicity 8)
Tm (0.244, 0.000, 0.761) (multiplicity 4)
Ge (0.000, 0.000, 0.000) (multiplicity 2)
Sb (0.000, 0.171, 0.500) (multiplicity 4)
Sb (0.000, 0.500, 0.500) (multiplicity 2)
Se (0.000, 0.334, 0.000) (multiplicity 4)

Main lines, by angle (2θ = 10–80°):
(2 0 -2), 30.1°, d 2.971, I 100
(1 3 -3), 43.0°, d 2.103, I 37
(3 3 -1), 43.1°, d 2.098, I 37
(4 0 0), 53.5°, d 1.714, I 20
(4 0 -4), 62.5°, d 1.485, I 12
(3 3 -5), 70.9°, d 1.330, I 16
(5 3 -3), 71.0°, d 1.327, I 16
(6 0 -2), 79.0°, d 1.212, I 14

---

No. 2
This entry pairs a crystal structure of UNbCo14 with its calculated powder diffraction line list. Radiation: λ = 1.5418 Å (Cu Kα). Structure: a structure optimized by DFT (GGA-PBE).

Cell and atoms:
Unit cell a=5.162 b=5.162 c=7.114 alpha=90.00 beta=90.00 gamma=90.00
Space group P4/mmm (No. 123)
One atom of each set of equivalent atoms:
U (0.000, 0.000, 0.000) (multiplicity 1)
Nb (0.500, 0.500, 0.000) (multiplicity 1)
Co (0.000, 0.000, 0.500) (multiplicity 1)
Co (0.000, 0.500, 0.000) (multiplicity 2)
Co (0.000, 0.500, 0.500) (multiplicity 2)
Co (0.250, 0.250, 0.267) (multiplicity 8)
Co (0.500, 0.500, 0.500) (multiplicity 1)

Main lines, by angle (2θ = 10–80°):
(0 0 1), 12.4°, d 7.114, I 7
(1 0 1), 21.3°, d 4.178, I 7
(1 1 1), 27.5°, d 3.248, I 10
(2 0 2), 43.3°, d 2.089, I 100
(2 2 0), 50.0°, d 1.825, I 33
(0 0 4), 51.4°, d 1.779, I 14
(4 0 0), 73.4°, d 1.291, I 10
(2 2 4), 74.5°, d 1.274, I 17

---

No. 3
This entry pairs a crystal structure of KCd4Hg2Bi with its calculated powder diffraction line list. Radiation: λ = 1.5418 Å (Cu Kα). Structure: a structure optimized by DFT (GGA-PBE).

Cell and atoms:
Unit cell a=4.758 b=4.758 c=10.577 alpha=90.00 beta=90.00 gamma=90.00
Space group P4/mmm (No. 123)
One atom of each set of equivalent atoms:
K (0.000, 0.000, 0.000) (multiplicity 1)
Cd (0.000, 0.500, 0.307) (multiplicity 4)
Hg (0.500, 0.500, 0.138) (multiplicity 2)
Bi (0.000, 0.000, 0.500) (multiplicity 1)

Main lines, by angle (2θ = 10–80°):
(1 0 1), 20.5°, d 4.339, I 93
(1 0 2), 25.2°, d 3.537, I 32
(1 1 2), 31.5°, d 2.838, I 58
(1 1 3), 36.9°, d 2.434, I 100
(2 0 0), 37.8°, d 2.379, I 69
(1 0 4), 39.0°, d 2.311, I 41
(2 1 4), 55.4°, d 1.658, I 30
(3 1 3), 67.7°, d 1.384, I 34

---

No. 4
This entry pairs a crystal structure of Tl2CdRuO4 with its calculated powder diffraction line list. Radiation: λ = 1.5418 Å (Cu Kα). Structure: a structure optimized by DFT (GGA-PBE).

Cell and atoms:
Unit cell a=5.764 b=5.769 c=5.769 alpha=101.82 beta=113.39 gamma=113.39
Space group P1 (No. 1)
One atom of each set of equivalent atoms:
Tl (0.000, 0.000, 0.000) (multiplicity 1)
Tl (0.500, 0.250, 0.750) (multiplicity 1)
Cd (0.000, 0.500, 0.500) (multiplicity 1)
Ru (0.500, 0.750, 0.250) (multiplicity 1)
O (0.117, 0.511, 0.925) (multiplicity 1)
O (0.415, 0.605, 0.489) (multiplicity 1)
O (0.586, 0.076, 0.192) (multiplicity 1)
O (0.885, 0.810, 0.395) (multiplicity 1)

Main lines, by angle (2θ = 10–80°):
(1 1 -1), 28.2°, d 3.166, I 57
(1 0 -2), 31.7°, d 2.823, I 100
(1 1 0), 34.0°, d 2.639, I 10
(2 0 0), 40.3°, d 2.239, I 27
(1 0 2), 52.1°, d 1.754, I 48
(-1 3 1), 58.5°, d 1.577, I 19
(3 -1 1), 66.0°, d 1.416, I 13
(2 1 1), 67.9°, d 1.381, I 11